Computed powder diffraction line list
Compound: Ho5Se5N
Radiation: a wavelength of 1.5418 Å
Structure: DFT lattice parameters and positions (PBE)
Intensities are scaled so that the largest is 1000.

Crystal structure
```
Ho5Se5N
1.0
6.2365 -2.8113 0.0000
6.2365 2.8113 0.0000
-2.5547 0.0000 7.3980
Ho Se N
5 5 1
Direct
0.0000 0.0000 0.0000 Ho
0.3513 0.3513 0.1502 Ho
0.3522 0.3522 0.7002 Ho
0.6478 0.6478 0.2998 Ho
0.6487 0.6487 0.8498 Ho
0.1628 0.1628 0.8224 Se
0.1746 0.1746 0.3349 Se
0.5000 0.5000 0.5000 Se
0.8254 0.8254 0.6651 Se
0.8372 0.8372 0.1776 Se
0.5000 0.5000 0.0000 N
```

Main lines, in order of rising 2θ (2θ from 10° to 90°):
2theta	I (rel.)
27.74	498
31.83	1000
32.06	869
32.51	837
38.27	212
45.81	642
46.16	895
46.41	280
57.20	281
57.38	297